# 1
RbMg14Ti: calculated powder XRD pattern (CuKα), based on a PBE-relaxed structure.

Main lines, by angle (10 to 90 degrees two-theta):
d = 2.854 Å, 2θ = 31.3°, I = 25.7
d = 2.816 Å, 2θ = 31.8°, I = 12.8
d = 2.615 Å, 2θ = 34.3°, I = 36.8
d = 2.505 Å, 2θ = 35.8°, I = 100.0
d = 2.480 Å, 2θ = 36.2°, I = 47.5
d = 1.928 Å, 2θ = 47.1°, I = 15.6
d = 1.633 Å, 2θ = 56.3°, I = 16.8
d = 1.488 Å, 2θ = 62.4°, I = 17.6
d = 1.385 Å, 2θ = 67.6°, I = 17.9
d = 1.377 Å, 2θ = 68.1°, I = 13.4

Structural model:
Cell lengths 10.4594, 6.5335, 6.5335 Å; angles 60.89, 90.00, 90.00 degrees
Element x y z (fractional)
1 Rb 0.0000 0.0000 0.0000
2 Mg 0.0000 0.4984 0.9995
3 Mg 0.0000 0.9995 0.4984
4 Mg 0.2428 0.6594 0.6594
5 Mg 0.2577 0.1757 0.6483
6 Mg 0.2577 0.6483 0.1757
7 Mg 0.2648 0.1706 0.1706
8 Mg 0.5000 0.4968 0.4968
9 Mg 0.5000 0.4992 0.9934
10 Mg 0.5000 0.9934 0.4992
11 Mg 0.5000 0.9956 0.9956
12 Mg 0.7352 0.1706 0.1706
13 Mg 0.7423 0.1757 0.6483
14 Mg 0.7423 0.6483 0.1757
15 Mg 0.7572 0.6594 0.6594
16 Ti 0.0000 0.4853 0.4853


# 2
BaThF6: calculated powder XRD pattern (CuKα), based on a PBE-relaxed structure.

Main lines, by angle (10 to 90 degrees two-theta):
d = 7.895 Å, 2θ = 11.2°, I = 16.1
d = 3.947 Å, 2θ = 22.5°, I = 36.9
d = 3.712 Å, 2θ = 24.0°, I = 29.8
d = 3.359 Å, 2θ = 26.5°, I = 100.0
d = 2.145 Å, 2θ = 42.1°, I = 86.6
d = 1.883 Å, 2θ = 48.3°, I = 29.8
d = 1.807 Å, 2θ = 50.5°, I = 18.1
d = 1.452 Å, 2θ = 64.1°, I = 24.7
d = 1.381 Å, 2θ = 67.9°, I = 15.5
d = 1.238 Å, 2θ = 77.0°, I = 21.5

Structural model:
Cell lengths 4.2859, 4.2859, 7.8947 Å; angles 90.00, 90.00, 120.00 degrees
Element x y z (fractional)
1 Ba 0.0000 0.0000 0.0000
2 Th 0.6667 0.3333 0.5000
3 F 0.0000 0.0000 0.3531
4 F 0.0000 0.0000 0.6469
5 F 0.3333 0.6667 0.0000
6 F 0.3333 0.6667 0.5000
7 F 0.6667 0.3333 0.2204
8 F 0.6667 0.3333 0.7796


# 3
CeZnCo2: calculated powder XRD pattern (CuKα), based on a PBE-relaxed structure.

Main lines, by angle (10 to 90 degrees two-theta):
d = 2.588 Å, 2θ = 34.7°, I = 100.0
d = 2.218 Å, 2θ = 40.7°, I = 29.8
d = 2.166 Å, 2θ = 41.7°, I = 77.9
d = 2.063 Å, 2θ = 43.9°, I = 23.7
d = 2.021 Å, 2θ = 44.8°, I = 10.3
d = 1.494 Å, 2θ = 62.1°, I = 31.0
d = 1.398 Å, 2θ = 67.0°, I = 18.1
d = 1.352 Å, 2θ = 69.5°, I = 11.2
d = 1.293 Å, 2θ = 73.2°, I = 21.9
d = 1.157 Å, 2θ = 83.6°, I = 11.6

Structural model:
Cell lengths 5.1734, 5.1734, 15.8556 Å; angles 90.00, 90.00, 120.00 degrees
Element x y z (fractional)
1 Ce 0.3333 0.6667 0.0456
2 Ce 0.3333 0.6667 0.2500
3 Ce 0.3333 0.6667 0.4544
4 Ce 0.6667 0.3333 0.5456
5 Ce 0.6667 0.3333 0.7500
6 Ce 0.6667 0.3333 0.9544
7 Zn 0.0000 0.0000 0.0000
8 Zn 0.0000 0.0000 0.2500
9 Zn 0.0000 0.0000 0.5000
10 Zn 0.0000 0.0000 0.7500
11 Zn 0.3333 0.6667 0.7500
12 Zn 0.6667 0.3333 0.2500
13 Co 0.1683 0.3365 0.6245
14 Co 0.1683 0.3365 0.8755
15 Co 0.1683 0.8317 0.6245
16 Co 0.1683 0.8317 0.8755
17 Co 0.3365 0.1683 0.1245
18 Co 0.3365 0.1683 0.3755
19 Co 0.6635 0.8317 0.6245
20 Co 0.6635 0.8317 0.8755
21 Co 0.8317 0.1683 0.1245
22 Co 0.8317 0.1683 0.3755
23 Co 0.8317 0.6635 0.1245
24 Co 0.8317 0.6635 0.3755


# 4
MgAlRh2: calculated powder XRD pattern (CuKα), based on a PBE-relaxed structure.

Main lines, by angle (10 to 90 degrees two-theta):
d = 3.054 Å, 2θ = 29.2°, I = 48.3
d = 2.159 Å, 2θ = 41.8°, I = 100.0
d = 1.763 Å, 2θ = 51.9°, I = 12.8
d = 1.527 Å, 2θ = 60.7°, I = 16.3
d = 1.366 Å, 2θ = 68.7°, I = 16.2
d = 1.247 Å, 2θ = 76.4°, I = 32.5

Structural model:
Cell lengths 6.1074, 6.1074, 6.1074 Å; angles 90.00, 90.00, 90.00 degrees
Element x y z (fractional)
1 Mg 0.0000 0.0000 0.0000
2 Mg 0.0000 0.5000 0.5000
3 Mg 0.5000 0.0000 0.5000
4 Mg 0.5000 0.5000 0.0000
5 Al 0.0000 0.0000 0.5000
6 Al 0.0000 0.5000 0.0000
7 Al 0.5000 0.0000 0.0000
8 Al 0.5000 0.5000 0.5000
9 Rh 0.2500 0.2500 0.2500
10 Rh 0.2500 0.2500 0.7500
11 Rh 0.2500 0.7500 0.2500
12 Rh 0.2500 0.7500 0.7500
13 Rh 0.7500 0.2500 0.2500
14 Rh 0.7500 0.2500 0.7500
15 Rh 0.7500 0.7500 0.2500
16 Rh 0.7500 0.7500 0.7500